No. 1
For EuNiGe2, a crystal structure in Alexandria, relaxed with PBE gives the simulated powder diffractogram in this record (CuKα).
No peak broadening, texture or thermal motion is included.

Structure:
a b c (Å): 4.3021 17.0340 4.1988
angles (deg): 90.00 90.00 90.00
Space group Cmcm (No. 63)
One atom of each set of equivalent atoms:
Eu 0.0000 0.1079 0.2500 (multiplicity 4)
Ni 0.0000 0.3190 0.2500 (multiplicity 4)
Ge 0.0000 0.2495 0.7500 (multiplicity 4)
Ge 0.0000 0.4570 0.2500 (multiplicity 4)

Most intense lines, 10 to 90 degrees two-theta, low angle first:
2theta  d (Å)  I/Imax  h k l
30.20  2.959  22  1 1 1
33.55  2.671  39  1 5 0
33.75  2.656  100  1 3 1
38.27  2.352  31  0 6 1
42.00  2.151  30  2 0 0
43.09  2.099  28  0 0 2
58.11  1.587  18  2 6 1
61.74  1.502  19  2 0 2



No. 2
For ThGaOs, a crystal structure in Alexandria, relaxed with PBE gives the simulated powder diffractogram in this record (CuKα).
No peak broadening, texture or thermal motion is included.

Structure:
a b c (Å): 7.3851 4.6906 7.1673
angles (deg): 90.00 90.00 90.00
Space group Pnma (No. 62)
One atom of each set of equivalent atoms:
Th 0.0334 0.2500 0.1913 (multiplicity 4)
Ga 0.1950 0.2500 0.6105 (multiplicity 4)
Os 0.1541 0.7500 0.4431 (multiplicity 4)

Most intense lines, 10 to 90 degrees two-theta, low angle first:
2theta  d (Å)  I/Imax  h k l
25.70  3.466  35  1 1 1
33.32  2.689  100  2 1 1
33.73  2.657  90  1 1 2
38.38  2.345  64  0 2 0
38.67  2.328  43  3 0 1
39.98  2.255  36  2 1 2
42.46  2.129  45  0 1 3
67.69  1.384  33  3 1 4



No. 3
For Li3CuPd4, a crystal structure in Alexandria, relaxed with PBE gives the simulated powder diffractogram in this record (CuKα).
No peak broadening, texture or thermal motion is included.

Structure:
a b c (Å): 6.0209 6.0350 11.9462
angles (deg): 90.00 90.00 90.00
Space group Fmmm (No. 69)
One atom of each set of equivalent atoms:
Li 0.0000 0.0000 0.0000 (multiplicity 4)
Li 0.0000 0.0000 0.2502 (multiplicity 8)
Cu 0.0000 0.0000 0.5000 (multiplicity 4)
Pd 0.2500 0.2500 0.1257 (multiplicity 16)

Most intense lines, 10 to 90 degrees two-theta, low angle first:
2theta  d (Å)  I/Imax  h k l
29.64  3.014  62  2 0 0
29.92  2.987  30  0 0 4
42.41  2.131  51  2 2 0
42.62  2.121  100  2 0 4
52.77  1.735  24  2 2 4
77.68  1.229  16  2 4 4
77.79  1.228  16  4 2 4
78.16  1.223  16  2 2 8



No. 4
For Th4CN2, a crystal structure in Alexandria, relaxed with PBE gives the simulated powder diffractogram in this record (CuKα).
No peak broadening, texture or thermal motion is included.

Structure:
a b c (Å): 13.8706 3.6419 6.3438
angles (deg): 90.00 116.51 90.00
Space group C2/m (No. 12)
One atom of each set of equivalent atoms:
Th 0.1282 0.0000 0.2857 (multiplicity 4)
Th 0.1324 0.5000 0.8092 (multiplicity 4)
C 0.0000 0.5000 0.0000 (multiplicity 2)
N 0.2426 0.0000 0.7374 (multiplicity 4)

Most intense lines, 10 to 90 degrees two-theta, low angle first:
2theta  d (Å)  I/Imax  h k l
28.26  3.158  25  1 1 -1
28.77  3.103  52  4 0 0
31.52  2.838  33  0 0 2
31.71  2.822  70  1 1 1
31.86  2.809  100  4 0 -2
40.90  2.206  24  5 1 -1
49.87  1.829  28  3 1 -3
58.84  1.569  30  4 2 0



No. 5
For U2TaAl6, a crystal structure in Alexandria, relaxed with PBE gives the simulated powder diffractogram in this record (CuKα).
No peak broadening, texture or thermal motion is included.

Structure:
a b c (Å): 8.1726 8.1726 2.8210
angles (deg): 90.00 90.00 120.00
Space group P6/mmm (No. 191)
One atom of each set of equivalent atoms:
U 0.3333 0.6667 0.0000 (multiplicity 2)
Ta 0.0000 0.0000 0.0000 (multiplicity 1)
Al 0.0000 0.3206 0.5000 (multiplicity 6)

Most intense lines, 10 to 90 degrees two-theta, low angle first:
2theta  d (Å)  I/Imax  h k l
21.75  4.086  100  1 1 0
38.15  2.359  51  3 0 0
38.79  2.322  79  1 1 1
44.34  2.043  17  2 2 0
50.43  1.810  17  3 0 1
55.54  1.655  28  2 2 1
59.89  1.544  14  4 1 0
69.37  1.355  30  4 1 1



No. 6
For CoPtW2, a crystal structure in Alexandria, relaxed with PBE gives the simulated powder diffractogram in this record (CuKα).
No peak broadening, texture or thermal motion is included.

Structure:
a b c (Å): 2.7248 4.3971 4.8382
angles (deg): 90.00 90.00 90.00
Space group Pmm2 (No. 25)
One atom of each set of equivalent atoms:
Co 0.0000 0.0000 0.0000 (multiplicity 1)
Pt 0.0000 0.5000 0.6665 (multiplicity 1)
W 0.5000 0.0000 0.4879 (multiplicity 1)
W 0.5000 0.5000 0.1511 (multiplicity 1)

Most intense lines, 10 to 90 degrees two-theta, low angle first:
2theta  d (Å)  I/Imax  h k l
37.90  2.374  27  1 0 1
41.05  2.199  38  0 2 0
42.66  2.120  53  0 1 2
43.31  2.089  100  1 1 1
57.10  1.613  18  1 2 1
67.49  1.388  17  1 0 3
76.36  1.247  19  1 3 1
82.13  1.174  21  1 2 3



No. 7
For Tb2Nd6Y3Th, a crystal structure in Alexandria, relaxed with PBE gives the simulated powder diffractogram in this record (CuKα).
No peak broadening, texture or thermal motion is included.

Structure:
a b c (Å): 6.2902 10.8865 11.9934
angles (deg): 90.00 100.07 90.00
Space group C2/m (No. 12)
One atom of each set of equivalent atoms:
Tb 0.0000 0.1666 0.0000 (multiplicity 4)
Nd 0.2464 0.5000 0.7514 (multiplicity 4)
Nd 0.2482 0.3351 0.2488 (multiplicity 8)
Y 0.0000 0.0000 0.5000 (multiplicity 2)
Y 0.0000 0.3331 0.5000 (multiplicity 4)
Th 0.0000 0.5000 0.0000 (multiplicity 2)

Most intense lines, 10 to 90 degrees two-theta, low angle first:
2theta  d (Å)  I/Imax  h k l
30.16  2.963  100  1 3 1
30.28  2.952  33  0 0 4
35.00  2.563  67  2 0 2
50.27  1.815  24  0 6 0
50.41  1.810  24  1 3 5
59.78  1.547  33  4 0 0
59.94  1.543  14  2 0 6
62.72  1.481  12  2 6 2



No. 8
For SiBr4, a crystal structure in Alexandria, relaxed with PBE gives the simulated powder diffractogram in this record (CuKα).
No peak broadening, texture or thermal motion is included.

Structure:
a b c (Å): 11.1567 7.2142 11.3276
angles (deg): 90.00 105.12 90.00
Space group P2_1/c (No. 14)
One atom of each set of equivalent atoms:
Si 0.2502 0.0684 0.1583 (multiplicity 4)
Br 0.0968 0.5736 0.7127 (multiplicity 4)
Br 0.1963 0.1409 0.6080 (multiplicity 4)
Br 0.2873 0.5762 0.4991 (multiplicity 4)
Br 0.4192 0.0635 0.3126 (multiplicity 4)

Most intense lines, 10 to 90 degrees two-theta, low angle first:
2theta  d (Å)  I/Imax  h k l
15.80  5.611  38  1 1 -1
23.44  3.795  60  2 1 -2
24.68  3.607  28  0 2 0
26.07  3.417  73  2 0 2
26.71  3.337  71  1 1 -3
27.03  3.299  80  3 1 -1
27.97  3.190  100  1 2 1
42.72  2.117  37  2 3 -2



What did the seventh record say?
For Tb2Nd6Y3Th, a crystal structure in Alexandria, relaxed with PBE gives the simulated powder diffractogram in this record (CuKα).
No peak broadening, texture or thermal motion is included.

Structure:
a b c (Å): 6.2902 10.8865 11.9934
angles (deg): 90.00 100.07 90.00
Space group C2/m (No. 12)
One atom of each set of equivalent atoms:
Tb 0.0000 0.1666 0.0000 (multiplicity 4)
Nd 0.2464 0.5000 0.7514 (multiplicity 4)
Nd 0.2482 0.3351 0.2488 (multiplicity 8)
Y 0.0000 0.0000 0.5000 (multiplicity 2)
Y 0.0000 0.3331 0.5000 (multiplicity 4)
Th 0.0000 0.5000 0.0000 (multiplicity 2)

Most intense lines, 10 to 90 degrees two-theta, low angle first:
2theta  d (Å)  I/Imax  h k l
30.16  2.963  100  1 3 1
30.28  2.952  33  0 0 4
35.00  2.563  67  2 0 2
50.27  1.815  24  0 6 0
50.41  1.810  24  1 3 5
59.78  1.547  33  4 0 0
59.94  1.543  14  2 0 6
62.72  1.481  12  2 6 2



Repeat the fourth record exactly.
For Th4CN2, a crystal structure in Alexandria, relaxed with PBE gives the simulated powder diffractogram in this record (CuKα).
No peak broadening, texture or thermal motion is included.

Structure:
a b c (Å): 13.8706 3.6419 6.3438
angles (deg): 90.00 116.51 90.00
Space group C2/m (No. 12)
One atom of each set of equivalent atoms:
Th 0.1282 0.0000 0.2857 (multiplicity 4)
Th 0.1324 0.5000 0.8092 (multiplicity 4)
C 0.0000 0.5000 0.0000 (multiplicity 2)
N 0.2426 0.0000 0.7374 (multiplicity 4)

Most intense lines, 10 to 90 degrees two-theta, low angle first:
2theta  d (Å)  I/Imax  h k l
28.26  3.158  25  1 1 -1
28.77  3.103  52  4 0 0
31.52  2.838  33  0 0 2
31.71  2.822  70  1 1 1
31.86  2.809  100  4 0 -2
40.90  2.206  24  5 1 -1
49.87  1.829  28  3 1 -3
58.84  1.569  30  4 2 0